[1]
BaCN2: computed powder XRD pattern (Cu Kα X-rays), based on a structure optimized by DFT (GGA-PBE).
Lines closer than 0.1° are merged.

Most intense lines, 5° ≤ 2θ ≤ 70°, sorted by position:
2θ (°)  intensity
17.18  50
24.37  41
26.36  100
33.23  37
37.64  31
41.62  32
45.34  26
47.71  16
49.94  16
55.32  14
65.15  13
66.97  13

Atomic structure:
a b c (Å): 4.3400 4.3400 15.4824
angles (deg): 90.00 90.00 120.00
Element x y z (fractional)
Ba (0.0000, 0.0000, 0.0000)
Ba (0.3333, 0.6667, 0.6667)
Ba (0.6667, 0.3333, 0.3333)
C (0.0000, 0.0000, 0.5000)
C (0.3333, 0.6667, 0.1667)
C (0.6667, 0.3333, 0.8333)
N (0.0000, 0.0000, 0.4198)
N (0.0000, 0.0000, 0.5802)
N (0.3333, 0.6667, 0.0865)
N (0.3333, 0.6667, 0.2469)
N (0.6667, 0.3333, 0.7531)
N (0.6667, 0.3333, 0.9135)

---

[2]
TiS2O8: computed powder XRD pattern (Cu Kα X-rays), based on a structure optimized by DFT (GGA-PBE).
Lines closer than 0.1° are merged.

Most intense lines, 5° ≤ 2θ ≤ 70°, sorted by position:
2θ (°)  intensity
12.85  6
14.57  44
20.06  19
23.85  11
24.41  100
29.39  22
32.16  26
32.98  13
39.24  6
42.29  7
50.03  7
52.85  9

Atomic structure:
a b c (Å): 8.8858 8.8858 8.8858
angles (deg): 56.11 56.11 56.11
Element x y z (fractional)
Ti (0.0000, 0.0000, 0.0000)
Ti (0.2064, 0.2064, 0.2064)
Ti (0.7034, 0.7034, 0.7034)
S (0.1028, 0.3921, 0.8041)
S (0.3168, 0.8860, 0.5958)
S (0.3921, 0.8041, 0.1028)
S (0.5958, 0.3168, 0.8860)
S (0.8041, 0.1028, 0.3921)
S (0.8860, 0.5958, 0.3168)
O (0.0852, 0.4524, 0.2467)
O (0.1202, 0.1980, 0.8368)
O (0.1394, 0.3590, 0.9698)
O (0.1714, 0.8941, 0.7950)
O (0.1980, 0.8368, 0.1202)
O (0.2267, 0.4720, 0.6163)
O (0.2467, 0.0852, 0.4524)
O (0.3328, 0.7344, 0.5675)
O (0.3590, 0.9698, 0.1394)
O (0.4524, 0.2467, 0.0852)
O (0.4720, 0.6163, 0.2267)
O (0.5046, 0.8696, 0.5774)
O (0.5240, 0.8381, 0.8891)
O (0.5675, 0.3328, 0.7344)
O (0.5774, 0.5046, 0.8696)
O (0.6163, 0.2267, 0.4720)
O (0.7344, 0.5675, 0.3328)
O (0.7950, 0.1714, 0.8941)
O (0.8368, 0.1202, 0.1980)
O (0.8381, 0.8891, 0.5240)
O (0.8696, 0.5774, 0.5046)
O (0.8891, 0.5240, 0.8381)
O (0.8941, 0.7950, 0.1714)
O (0.9698, 0.1394, 0.3590)